Structure and simulated XRD peak list of DyIn2MoO8 (a cell relaxed with GGA+U; CuKα).
Neutral-atom scattering factors, no anomalous dispersion.

Cell lengths 4.9398, 4.9398, 6.6602 Å; angles 90.00, 90.00, 90.85 degrees
Element x y z (fractional)
Dy 0.0000 0.0000 0.0000
In 0.5000 0.5000 0.2567
In 0.5000 0.5000 0.7433
Mo 0.0000 0.0000 0.5000
O 0.1856 0.8144 0.2862
O 0.1856 0.8144 0.7138
O 0.2865 0.2865 0.5000
O 0.3136 0.3136 0.0000
O 0.6864 0.6864 0.0000
O 0.7135 0.7135 0.5000
O 0.8144 0.1856 0.2862
O 0.8144 0.1856 0.7138

The 10 most intense peaks (10° ≤ 2θ ≤ 80°), in order of falling intensity:
32.4°, rel. 100; 25.3°, rel. 63; 25.7°, rel. 59; 49.3°, rel. 42; 49.7°, rel. 40; 36.4°, rel. 28; 63.0°, rel. 24; 67.9°, rel. 11; 61.6°, rel. 10; 52.8°, rel. 10